Structure and theoretical powder XRD pattern of SmGaFeNi (a structure optimized by DFT (PBE); λ = 1.5418 Å (Cu Kα)).
Peak positions follow from Bragg's law for the DFT cell and can differ from measured ones.

The 8 most intense peaks (10° ≤ 2θ ≤ 80°), by angle:
(hkl)  two_theta  I (rel.)
1 1 1  31.46  88
0 1 2  34.37  20
2 0 0  36.21  31
1 1 2  39.00  100
0 0 3  39.43  25
2 1 0  42.82  29
0 2 0  45.08  63
3 1 2  66.99  19

Structural model:
a b c (Å): 4.9615 4.0241 6.8564
angles (deg): 90.00 90.00 90.00
Fractional coordinates of all 8 atoms:
1 Sm 0.2500 0.0000 0.1910
2 Sm 0.7500 0.0000 0.8090
3 Ga 0.2500 0.5000 0.8314
4 Ga 0.7500 0.5000 0.1686
5 Fe 0.0000 0.5000 0.5000
6 Fe 0.5000 0.5000 0.5000
7 Ni 0.2500 0.0000 0.6138
8 Ni 0.7500 0.0000 0.3862

Structure and theoretical powder XRD pattern of TbGaFeNi (a structure optimized by DFT (PBE); λ = 1.5418 Å (Cu Kα)).
Peak positions follow from Bragg's law for the DFT cell and can differ from measured ones.

The 8 most intense peaks (10° ≤ 2θ ≤ 80°), by angle:
(hkl)  two_theta  I (rel.)
1 1 1  31.73  92
0 1 2  34.76  29
2 0 0  36.56  32
1 1 2  39.44  100
0 0 3  40.06  22
2 1 0  43.20  31
0 2 0  45.33  50
2 0 2  45.66  26

Structural model:
a b c (Å): 4.9153 4.0018 6.7531
angles (deg): 90.00 90.00 90.00
Fractional coordinates of all 8 atoms:
1 Tb 0.2500 0.0000 0.1955
2 Tb 0.7500 0.0000 0.8045
3 Ga 0.2500 0.5000 0.8409
4 Ga 0.7500 0.5000 0.1591
5 Fe 0.0000 0.5000 0.5000
6 Fe 0.5000 0.5000 0.5000
7 Ni 0.2500 0.0000 0.6211
8 Ni 0.7500 0.0000 0.3789

Structure and theoretical powder XRD pattern of Pa2Ga8Fe (a structure optimized by DFT (PBE); λ = 1.5418 Å (Cu Kα)).
Peak positions follow from Bragg's law for the DFT cell and can differ from measured ones.

The 8 most intense peaks (10° ≤ 2θ ≤ 80°), by angle:
(hkl)  two_theta  I (rel.)
1 0 0  20.75  40
1 0 3  32.01  21
1 1 2  33.74  65
1 1 3  38.45  100
0 0 5  40.73  25
2 0 0  42.22  60
2 0 5  60.10  31
3 1 3  74.66  32

Structural model:
a b c (Å): 4.2813 4.2813 11.0774
angles (deg): 90.00 90.00 90.00
Fractional coordinates of all 11 atoms:
1 Pa 0.0000 0.0000 0.1969
2 Pa 0.0000 0.0000 0.8031
3 Ga 0.0000 0.5000 0.0000
4 Ga 0.0000 0.5000 0.3848
5 Ga 0.0000 0.5000 0.6152
6 Ga 0.5000 0.0000 0.0000
7 Ga 0.5000 0.0000 0.3848
8 Ga 0.5000 0.0000 0.6152
9 Ga 0.5000 0.5000 0.1950
10 Ga 0.5000 0.5000 0.8050
11 Fe 0.0000 0.0000 0.5000

Structure and theoretical powder XRD pattern of GaFe2Pb (a structure optimized by DFT (PBE); λ = 1.5418 Å (Cu Kα)).
Peak positions follow from Bragg's law for the DFT cell and can differ from measured ones.

The 8 most intense peaks (10° ≤ 2θ ≤ 80°), by angle:
(hkl)  two_theta  I (rel.)
2 0 0  27.77  27
2 1 0  31.13  23
2 2 0  39.68  100
3 0 0  42.20  9
2 2 2  49.13  11
4 0 0  57.37  15
4 2 0  64.91  18
4 2 2  72.01  27

Structural model:
a b c (Å): 6.4243 6.4243 6.4243
angles (deg): 90.00 90.00 90.00
Fractional coordinates of all 16 atoms:
1 Ga 0.0000 0.0000 0.0000
2 Ga 0.0000 0.0000 0.5000
3 Ga 0.0000 0.5000 0.0000
4 Ga 0.5000 0.0000 0.0000
5 Fe 0.2111 0.2111 0.2111
6 Fe 0.2111 0.2111 0.7889
7 Fe 0.2111 0.7889 0.2111
8 Fe 0.2111 0.7889 0.7889
9 Fe 0.7889 0.2111 0.2111
10 Fe 0.7889 0.2111 0.7889
11 Fe 0.7889 0.7889 0.2111
12 Fe 0.7889 0.7889 0.7889
13 Pb 0.0000 0.5000 0.5000
14 Pb 0.5000 0.0000 0.5000
15 Pb 0.5000 0.5000 0.0000
16 Pb 0.5000 0.5000 0.5000

Structure and theoretical powder XRD pattern of Ga2FeSe2S2 (a structure optimized by DFT (PBE); λ = 1.5418 Å (Cu Kα)).
Peak positions follow from Bragg's law for the DFT cell and can differ from measured ones.

The 8 most intense peaks (10° ≤ 2θ ≤ 80°), by angle:
(hkl)  two_theta  I (rel.)
0 2 0  16.72  14
2 0 -1  23.08  18
0 2 1  28.14  100
2 2 -1  28.64  83
0 0 2  45.87  27
4 0 -2  47.17  20
2 4 0  47.42  41
2 4 -2  47.70  40

Structural model:
a b c (Å): 7.7069 10.6020 5.4911
angles (deg): 90.00 133.91 90.00
Fractional coordinates of all 14 atoms:
1 Ga 0.0000 0.0000 0.0000
2 Ga 0.0000 0.2430 0.5000
3 Ga 0.5000 0.5000 0.0000
4 Ga 0.5000 0.7430 0.5000
5 Fe 0.0000 0.5040 0.0000
6 Fe 0.5000 0.0040 0.0000
7 Se 0.2364 0.8662 0.5052
8 Se 0.2636 0.3662 0.4948
9 Se 0.7364 0.3662 0.5052
10 Se 0.7636 0.8662 0.4948
11 S 0.2470 0.1245 0.9941
12 S 0.2530 0.6245 0.0059
13 S 0.7470 0.6245 0.9941
14 S 0.7530 0.1245 0.0059

Structure and theoretical powder XRD pattern of Tb3GaFeS7 (a structure optimized by DFT (PBE); λ = 1.5418 Å (Cu Kα)).
Peak positions follow from Bragg's law for the DFT cell and can differ from measured ones.

The 8 most intense peaks (10° ≤ 2θ ≤ 80°), by angle:
(hkl)  two_theta  I (rel.)
1 0 1  17.89  25
2 0 1  25.77  100
1 2 0  28.26  23
3 0 1  35.37  30
2 0 2  36.24  35
2 2 0  37.28  37
1 2 2  40.93  24
2 0 3  49.47  23

Structural model:
a b c (Å): 9.6485 9.6485 6.1592
angles (deg): 90.00 90.00 120.00
Fractional coordinates of all 24 atoms:
1 Tb 0.1534 0.3766 0.0000
2 Tb 0.2232 0.8466 0.0000
3 Tb 0.3766 0.2232 0.5000
4 Tb 0.6234 0.7768 0.0000
5 Tb 0.7768 0.1534 0.5000
6 Tb 0.8466 0.6234 0.5000
7 Ga 0.3333 0.6667 0.4264
8 Ga 0.6667 0.3333 0.9264
9 Fe 0.0000 0.0000 0.3210
10 Fe 0.0000 0.0000 0.8210
11 S 0.0877 0.5691 0.2680
12 S 0.1013 0.2369 0.5880
13 S 0.1355 0.8987 0.5880
14 S 0.2369 0.1355 0.0880
15 S 0.3333 0.6667 0.7932
16 S 0.4309 0.5185 0.2680
17 S 0.4815 0.9123 0.2680
18 S 0.5185 0.0877 0.7680
19 S 0.5691 0.4815 0.7680
20 S 0.6667 0.3333 0.2932
21 S 0.7631 0.8645 0.5880
22 S 0.8645 0.1013 0.0880
23 S 0.8987 0.7631 0.0880
24 S 0.9123 0.4309 0.7680